(1)
Computed powder diffractogram of B5C7 for CuKα, from a PBE-relaxed structure.
Neutral-atom scattering factors, no anomalous dispersion.

Principal peaks in the range 2θ from 15° to 90°, by angle:
d (Å)	2theta	Rel. int.
3.392	26.3	50.2
2.277	39.6	50.4
2.262	39.8	45.0
2.116	42.7	100.0
1.335	70.6	28.8
1.289	73.4	16.5

Unit cell a=3.6995 b=2.5788 c=8.6234 alpha=90.00 beta=90.38 gamma=90.00
Fractional positions:
B 0.0000 0.0000 0.0000
B 0.0239 0.0000 0.3221
B 0.1827 0.0000 0.5300
B 0.4273 0.5000 0.1246
B 0.5791 0.5000 0.5312
C 0.2381 0.0000 0.1699
C 0.2472 0.0000 0.8413
C 0.4902 0.5000 0.8441
C 0.7136 0.5000 0.9933
C 0.7469 0.5000 0.7034
C 0.9193 0.5000 0.4184
C 0.9875 0.0000 0.7009


(2)
Computed powder diffractogram of B5C7 for CuKα, from a PBE-relaxed structure.
Neutral-atom scattering factors, no anomalous dispersion.

Principal peaks in the range 2θ from 15° to 90°, by angle:
d (Å)	2theta	Rel. int.
3.983	22.3	28.8
2.181	41.4	55.6
2.169	41.6	100.0
2.161	41.8	55.6
1.352	69.5	23.8
1.342	70.1	28.2

Unit cell a=3.9829 b=2.5862 c=7.7689 alpha=90.00 beta=90.60 gamma=90.00
Fractional positions:
B 0.0000 0.0000 0.0000
B 0.0119 0.0000 0.2900
B 0.0573 0.0000 0.6112
B 0.3650 0.0000 0.7747
B 0.7602 0.5000 0.6331
C 0.3039 0.0000 0.1321
C 0.3323 0.0000 0.4705
C 0.5276 0.5000 0.1353
C 0.5362 0.5000 0.4517
C 0.5584 0.5000 0.8107
C 0.7633 0.5000 0.2973
C 0.7683 0.5000 0.9728


(3)
Computed powder diffractogram of B5C7 for CuKα, from a PBE-relaxed structure.
Neutral-atom scattering factors, no anomalous dispersion.

Principal peaks in the range 2θ from 15° to 90°, by angle:
d (Å)	2theta	Rel. int.
4.147	21.4	14.9
2.159	41.9	98.5
2.143	42.2	100.0
1.350	69.6	52.0
1.264	75.2	12.3
1.251	76.1	11.9

Unit cell a=2.5029 b=2.5280 c=12.4413 alpha=90.00 beta=90.00 gamma=90.00
Fractional positions:
B 0.0000 0.0000 0.0000
B 0.0000 0.0000 0.3061
B 0.0000 0.5000 0.8881
B 0.5000 0.0000 0.4155
B 0.5000 0.0000 0.7304
C 0.0000 0.0000 0.6394
C 0.0000 0.5000 0.2241
C 0.0000 0.5000 0.5692
C 0.5000 0.0000 0.0809
C 0.5000 0.5000 0.1527
C 0.5000 0.5000 0.4970
C 0.5000 0.5000 0.8081


(4)
Computed powder diffractogram of B5C7 for CuKα, from a PBE-relaxed structure.
Neutral-atom scattering factors, no anomalous dispersion.

Principal peaks in the range 2θ from 15° to 90°, by angle:
d (Å)	2theta	Rel. int.
4.856	18.3	37.3
2.201	41.0	100.0
2.083	43.4	60.6
1.333	70.7	32.1
1.325	71.1	26.2
1.122	86.8	22.4

Unit cell a=2.6655 b=2.6655 c=14.5685 alpha=90.00 beta=90.00 gamma=120.00
Fractional positions:
B 0.0000 0.0000 0.0000
B 0.0000 0.0000 0.2693
B 0.0000 0.0000 0.5801
B 0.3333 0.6667 0.3916
B 0.3333 0.6667 0.8375
C 0.0000 0.0000 0.6942
C 0.3333 0.6667 0.2792
C 0.3333 0.6667 0.7237
C 0.6667 0.3333 0.4403
C 0.6667 0.3333 0.5374
C 0.6667 0.3333 0.8794
C 0.6667 0.3333 0.9869


(5)
Computed powder diffractogram of B5C7 for CuKα, from a PBE-relaxed structure.
Neutral-atom scattering factors, no anomalous dispersion.

Principal peaks in the range 2θ from 15° to 90°, by angle:
d (Å)	2theta	Rel. int.
2.246	40.1	25.3
2.129	42.5	100.0
1.347	69.8	22.5
1.296	73.0	24.6
1.155	83.7	8.7
1.122	86.8	10.6

Unit cell a=2.5910 b=2.5910 c=13.4763 alpha=90.00 beta=90.00 gamma=120.00
Fractional positions:
B 0.0000 0.0000 0.0000
B 0.0000 0.0000 0.4829
B 0.3333 0.6667 0.2752
B 0.3333 0.6667 0.7635
B 0.6667 0.3333 0.9214
C 0.0000 0.0000 0.1174
C 0.0000 0.0000 0.6061
C 0.3333 0.6667 0.1559
C 0.3333 0.6667 0.6377
C 0.6667 0.3333 0.3287
C 0.6667 0.3333 0.4342
C 0.6667 0.3333 0.8078


(6)
Computed powder diffractogram of BC for CuKα, from a PBE-relaxed structure.
Neutral-atom scattering factors, no anomalous dispersion.

Principal peaks in the range 2θ from 15° to 90°, by angle:
d (Å)	2theta	Rel. int.
5.727	15.5	29.2
2.863	31.2	31.9
2.235	40.3	48.1
2.193	41.2	100.0
2.128	42.5	47.4
1.317	71.6	24.4

Unit cell a=5.9708 b=5.9708 c=5.3180 alpha=99.93 beta=99.93 gamma=25.93
Fractional positions:
B 0.0618 0.0618 0.1264
B 0.0750 0.0750 0.7508
B 0.3086 0.3086 0.0237
B 0.6914 0.6914 0.9763
B 0.9250 0.9250 0.2492
B 0.9382 0.9382 0.8736
C 0.2902 0.2902 0.5165
C 0.3695 0.3695 0.7800
C 0.3709 0.3709 0.3164
C 0.6291 0.6291 0.6836
C 0.6305 0.6305 0.2200
C 0.7098 0.7098 0.4835


(7)
Computed powder diffractogram of BC7 for CuKα, from a PBE-relaxed structure.
Neutral-atom scattering factors, no anomalous dispersion.

Principal peaks in the range 2θ from 15° to 90°, by angle:
d (Å)	2theta	Rel. int.
3.645	24.4	0.8
3.236	27.6	2.1
2.091	43.3	100.0
1.283	73.9	26.1
1.277	74.3	12.8
1.097	89.3	8.2

Unit cell a=3.6112 b=3.6112 c=7.2890 alpha=90.00 beta=90.00 gamma=90.00
Fractional positions:
B 0.0000 0.0000 0.0000
B 0.5000 0.5000 0.5000
C 0.0000 0.0000 0.5000
C 0.0000 0.5000 0.2500
C 0.0000 0.5000 0.7500
C 0.2431 0.2431 0.6277
C 0.2431 0.7569 0.3723
C 0.2569 0.2569 0.1277
C 0.2569 0.7431 0.8723
C 0.5000 0.0000 0.2500
C 0.5000 0.0000 0.7500
C 0.5000 0.5000 0.0000
C 0.7431 0.2569 0.8723
C 0.7431 0.7431 0.1277
C 0.7569 0.2431 0.3723
C 0.7569 0.7569 0.6277


(8)
Computed powder diffractogram of B3C7 for CuKα, from a PBE-relaxed structure.
Neutral-atom scattering factors, no anomalous dispersion.

Principal peaks in the range 2θ from 15° to 90°, by angle:
d (Å)	2theta	Rel. int.
3.770	23.6	17.5
2.161	41.8	100.0
2.087	43.4	98.2
1.323	71.3	53.2
1.290	73.4	13.7
1.097	89.3	19.3

Unit cell a=6.5766 b=6.5766 c=6.5766 alpha=157.38 beta=42.12 gamma=144.94
Fractional positions:
B 0.0000 0.0000 0.0000
B 0.5818 0.6794 0.9024
B 0.7770 0.6794 0.0976
C 0.1686 0.9698 0.1989
C 0.2275 0.7275 0.5000
C 0.3319 0.9337 0.3982
C 0.4025 0.7002 0.7023
C 0.5355 0.9337 0.6018
C 0.7709 0.9698 0.8011
C 0.9979 0.7002 0.2977


(9)
Computed powder diffractogram of BC7 for CuKα, from a PBE-relaxed structure.
Neutral-atom scattering factors, no anomalous dispersion.

Principal peaks in the range 2θ from 15° to 90°, by angle:
d (Å)	2theta	Rel. int.
2.197	41.1	21.9
2.128	42.5	100.0
1.952	46.5	35.2
1.346	69.9	13.2
1.268	74.9	29.9
1.192	80.6	24.1

Unit cell a=2.5364 b=2.5364 c=8.5198 alpha=90.00 beta=90.00 gamma=120.00
Fractional positions:
B 0.0000 0.0000 0.0000
C 0.0000 0.0000 0.1907
C 0.3333 0.6667 0.4942
C 0.3333 0.6667 0.6787
C 0.6667 0.3333 0.2511
C 0.6667 0.3333 0.4336
C 0.6667 0.3333 0.7415
C 0.6667 0.3333 0.9181


(10)
Computed powder diffractogram of B5C7 for CuKα, from a PBE-relaxed structure.
Neutral-atom scattering factors, no anomalous dispersion.

Principal peaks in the range 2θ from 15° to 90°, by angle:
d (Å)	2theta	Rel. int.
2.172	41.6	96.4
2.111	42.8	100.0
1.349	69.7	42.0
1.269	74.9	13.4
1.259	75.5	11.5
1.220	78.4	11.8

Unit cell a=2.4401 b=2.5371 c=12.6155 alpha=90.00 beta=90.00 gamma=90.00
Fractional positions:
B 0.0000 0.0000 0.0000
B 0.0000 0.0000 0.3334
B 0.0000 0.5000 0.4373
B 0.5000 0.5000 0.1664
B 0.5000 0.5000 0.5447
C 0.0000 0.0000 0.6948
C 0.0000 0.5000 0.0777
C 0.0000 0.5000 0.7665
C 0.5000 0.0000 0.2458
C 0.5000 0.0000 0.6245
C 0.5000 0.0000 0.9077
C 0.5000 0.5000 0.8399


(11)
Computed powder diffractogram of B5C7 for CuKα, from a PBE-relaxed structure.
Neutral-atom scattering factors, no anomalous dispersion.

Principal peaks in the range 2θ from 15° to 90°, by angle:
d (Å)	2theta	Rel. int.
3.507	25.4	22.2
2.210	40.8	100.0
2.183	41.4	84.8
1.349	69.7	27.5
1.348	69.8	20.2
1.137	85.4	15.7

Unit cell a=6.0726 b=6.0726 c=5.4006 alpha=102.90 beta=102.90 gamma=25.22
Fractional positions:
B 0.0000 0.0000 0.0000
B 0.2303 0.2303 0.4413
B 0.5374 0.5374 0.5277
B 0.6720 0.6720 0.9514
B 0.8741 0.8741 0.3101
C 0.2404 0.2404 0.9286
C 0.3131 0.3131 0.2146
C 0.3149 0.3149 0.7308
C 0.5695 0.5695 0.0956
C 0.6373 0.6373 0.3806
C 0.8920 0.8920 0.7632
C 0.9741 0.9741 0.5690


(12)
Computed powder diffractogram of B5C for CuKα, from a PBE-relaxed structure.
Neutral-atom scattering factors, no anomalous dispersion.

Principal peaks in the range 2θ from 15° to 90°, by angle:
d (Å)	2theta	Rel. int.
5.077	17.5	82.5
3.494	25.5	100.0
3.374	26.4	47.7
2.647	33.9	70.3
2.552	35.2	48.0
2.316	38.9	59.4

Unit cell a=4.0099 b=4.8608 c=5.5279 alpha=66.75 beta=82.00 gamma=65.66
Fractional positions:
B 0.0695 0.3918 0.1737
B 0.1786 0.9802 0.8627
B 0.2158 0.6773 0.1717
B 0.4113 0.2218 0.9460
B 0.4257 0.5607 0.6296
B 0.5743 0.4393 0.3704
B 0.5887 0.7782 0.0540
B 0.7842 0.3227 0.8283
B 0.8214 0.0198 0.1373
B 0.9305 0.6082 0.8263
C 0.0943 0.8727 0.6333
C 0.9057 0.1273 0.3667


(13)
Computed powder diffractogram of B5C7 for CuKα, from a PBE-relaxed structure.
Neutral-atom scattering factors, no anomalous dispersion.

Principal peaks in the range 2θ from 15° to 90°, by angle:
d (Å)	2theta	Rel. int.
2.188	41.3	53.1
2.163	41.8	100.0
2.138	42.3	56.6
1.344	70.0	23.3
1.321	71.4	26.1
1.310	72.1	24.4

Unit cell a=4.5913 b=2.6189 c=6.5708 alpha=90.00 beta=92.35 gamma=90.00
Fractional positions:
B 0.0000 0.0000 0.0000
B 0.0195 0.0000 0.6684
B 0.1451 0.5000 0.3949
B 0.3244 0.0000 0.2597
B 0.7152 0.0000 0.3994
C 0.1923 0.5000 0.6365
C 0.3468 0.0000 0.0232
C 0.5044 0.5000 0.9524
C 0.5133 0.5000 0.7133
C 0.6693 0.0000 0.6420
C 0.8105 0.5000 0.2850
C 0.8159 0.5000 0.0521